Tl3VO4: calculated powder diffraction line list (Cu Kα (λ = 1.5418 Å)), based on a crystal structure in Alexandria, relaxed with PBE+U.
Intensities are scaled so that the largest is 100.

The 10 most intense peaks (2θ from 5° to 70°), in order of falling intensity:
2θ (°)	I_rel
29.1	100.0
26.6	30.0
29.7	25.8
48.6	23.3
40.3	22.5
52.3	21.8
60.3	12.3
18.1	11.5
51.2	9.2
66.5	9.2

Structural model:
Cell lengths 6.0140, 8.4449, 6.6914 Å; angles 90.00, 90.00, 90.00 degrees
Space group Imm2 (No. 44)
Inequivalent atoms, fractional coordinates:
Tl 0.0000 0.0000 0.0000 [2 per cell]
Tl 0.0000 0.2329 0.5429 [4 per cell]
V 0.0000 0.5000 0.0490 [2 per cell]
O 0.0000 0.3298 0.9025 [4 per cell]
O 0.2446 0.5000 0.1949 [4 per cell]